(1)
Calculated PXRD pattern of KScRu2 for Cu Ka, from the PBE geometry in Alexandria.

Structure:
Cell lengths 2.9781, 3.7585, 8.6751 Å; angles 90.00, 90.00, 90.00 degrees
Sites, in units of the cell vectors:
1 K 0.0000 0.0000 0.0000
2 Sc 0.5000 0.5000 0.5868
3 Ru 0.0000 0.0000 0.4115
4 Ru 0.5000 0.5000 0.3002

Top 10 peaks for 2θ from 15° to 90°, sorted by position:
| two_theta | I (rel.) |
| --- | --- |
| 20.5 | 41 |
| 31.5 | 57 |
| 36.6 | 37 |
| 38.6 | 100 |
| 39.3 | 50 |
| 40.0 | 65 |
| 43.6 | 37 |
| 44.1 | 22 |
| 48.4 | 54 |
| 52.2 | 23 |

(2)
Calculated PXRD pattern of Ca5Hg2H for Cu Ka, from the PBE geometry in Alexandria.

Structure:
Cell lengths 9.3192, 9.3192, 7.7187 Å; angles 94.46, 94.46, 43.94 degrees
Sites, in units of the cell vectors:
1 Ca 0.0721 0.9279 0.7500
2 Ca 0.1608 0.2876 0.3043
3 Ca 0.2719 0.5341 0.0617
4 Ca 0.2876 0.1608 0.8043
5 Ca 0.4659 0.7281 0.4383
6 Ca 0.5341 0.2719 0.5617
7 Ca 0.7124 0.8392 0.1957
8 Ca 0.7281 0.4659 0.9383
9 Ca 0.8392 0.7124 0.6957
10 Ca 0.9279 0.0721 0.2500
11 Hg 0.1010 0.6793 0.4334
12 Hg 0.3207 0.8990 0.0666
13 Hg 0.6793 0.1010 0.9334
14 Hg 0.8990 0.3207 0.5666
15 H 0.0000 0.5000 0.0000
16 H 0.5000 0.0000 0.5000

Top 10 peaks for 2θ from 15° to 90°, sorted by position:
| two_theta | I (rel.) |
| --- | --- |
| 18.2 | 100 |
| 20.6 | 39 |
| 22.5 | 67 |
| 24.5 | 24 |
| 30.3 | 26 |
| 32.0 | 27 |
| 32.5 | 30 |
| 33.1 | 39 |
| 34.7 | 21 |
| 38.2 | 24 |

(3)
Calculated PXRD pattern of InBiHBrN for Cu Ka, from the PBE geometry in Alexandria.

Structure:
Cell lengths 3.5993, 3.7618, 7.6613 Å; angles 90.00, 90.42, 90.00 degrees
Sites, in units of the cell vectors:
1 In 0.0000 0.0000 0.0000
2 Bi 0.4948 0.5000 0.6504
3 H 0.9998 0.5000 0.0375
4 Br 0.5036 0.0000 0.2994
5 N 0.4972 0.0000 0.8291

Top 10 peaks for 2θ from 15° to 90°, sorted by position:
| two_theta | I (rel.) |
| --- | --- |
| 26.4 | 100 |
| 27.3 | 33 |
| 27.5 | 36 |
| 33.4 | 42 |
| 34.1 | 23 |
| 34.5 | 25 |
| 35.1 | 35 |
| 36.4 | 25 |
| 36.5 | 22 |
| 42.1 | 24 |